1.
This entry pairs a crystal structure of MnCoSb with its simulated X-ray powder pattern. Radiation: CuKα. Structure: a crystal structure in the Materials Project, relaxed with PBE.
Intensities are scaled so that the largest is 100.

Principal peaks in the range 10 to 80 degrees two-theta, most intense first:
- 43.68 deg, d = 2.072 Å, intensity 100
- 44.81 deg, d = 2.023 Å, intensity 49
- 31.27 deg, d = 2.861 Å, intensity 32
- 26.56 deg, d = 3.356 Å, intensity 28
- 34.73 deg, d = 2.583 Å, intensity 27
- 29.72 deg, d = 3.006 Å, intensity 16
- 65.23 deg, d = 1.430 Å, intensity 15
- 79.43 deg, d = 1.206 Å, intensity 13

abc: 4.046 4.046 6.012
angles: 90.00 90.00 90.00
Fractional coordinates of all 6 atoms:
Mn  0.250  0.250  0.242
Mn  0.750  0.750  0.758
Co  0.250  0.750  0.500
Co  0.750  0.250  0.500
Sb  0.250  0.250  0.778
Sb  0.750  0.750  0.222

2.
This entry pairs a crystal structure of MnCoSb with its simulated X-ray powder pattern. Radiation: CuKα. Structure: a crystal structure in the Materials Project, relaxed with PBE.
Intensities are scaled so that the largest is 100.

Principal peaks in the range 10 to 80 degrees two-theta, most intense first:
- 43.97 deg, d = 2.059 Å, intensity 100
- 26.50 deg, d = 3.363 Å, intensity 38
- 30.70 deg, d = 2.913 Å, intensity 32
- 52.07 deg, d = 1.756 Å, intensity 17
- 63.93 deg, d = 1.456 Å, intensity 15
- 72.58 deg, d = 1.303 Å, intensity 10
- 54.58 deg, d = 1.682 Å, intensity 8
- 70.46 deg, d = 1.336 Å, intensity 7

abc: 4.119 4.119 4.119
angles: 60.00 60.00 60.00
Fractional coordinates of all 3 atoms:
Mn  0.000  0.000  0.000
Co  0.750  0.750  0.750
Sb  0.500  0.500  0.500

3.
This entry pairs a crystal structure of MnCoSb with its simulated X-ray powder pattern. Radiation: CuKα. Structure: a crystal structure in the Materials Project, relaxed with PBE.
Intensities are scaled so that the largest is 100.

Principal peaks in the range 10 to 80 degrees two-theta, most intense first:
- 44.02 deg, d = 2.057 Å, intensity 100
- 30.74 deg, d = 2.909 Å, intensity 32
- 26.54 deg, d = 3.359 Å, intensity 30
- 64.01 deg, d = 1.455 Å, intensity 15
- 52.14 deg, d = 1.754 Å, intensity 13
- 72.68 deg, d = 1.301 Å, intensity 9
- 54.65 deg, d = 1.680 Å, intensity 8
- 70.56 deg, d = 1.335 Å, intensity 5

abc: 8.228 8.228 8.228
angles: 60.00 60.00 60.00
Fractional coordinates of all 24 atoms:
Mn  0.123  0.123  0.123
Mn  0.123  0.123  0.632
Mn  0.123  0.632  0.123
Mn  0.126  0.625  0.625
Mn  0.625  0.126  0.625
Mn  0.625  0.625  0.126
Mn  0.625  0.625  0.625
Mn  0.632  0.123  0.123
Co  0.000  0.000  0.000
Co  0.007  0.007  0.493
Co  0.007  0.493  0.007
Co  0.007  0.493  0.493
Co  0.250  0.250  0.250
Co  0.493  0.007  0.007
Co  0.493  0.007  0.493
Co  0.493  0.493  0.007
Sb  0.379  0.874  0.874
Sb  0.384  0.384  0.384
Sb  0.384  0.384  0.848
Sb  0.384  0.848  0.384
Sb  0.848  0.384  0.384
Sb  0.874  0.379  0.874
Sb  0.874  0.874  0.379
Sb  0.874  0.874  0.874

4.
This entry pairs a crystal structure of MnCoSb with its simulated X-ray powder pattern. Radiation: CuKα. Structure: a crystal structure in the Materials Project, relaxed with PBE.
Intensities are scaled so that the largest is 100.

Principal peaks in the range 10 to 80 degrees two-theta, most intense first:
- 44.29 deg, d = 2.045 Å, intensity 100
- 30.92 deg, d = 2.892 Å, intensity 32
- 26.69 deg, d = 3.340 Å, intensity 19
- 64.42 deg, d = 1.446 Å, intensity 15
- 40.51 deg, d = 2.227 Å, intensity 12
- 33.77 deg, d = 2.654 Å, intensity 10
- 73.16 deg, d = 1.294 Å, intensity 9
- 52.46 deg, d = 1.744 Å, intensity 8

abc: 8.181 8.181 8.181
angles: 60.00 60.00 60.00
Fractional coordinates of all 24 atoms:
Mn  0.000  0.000  0.000
Mn  0.000  0.000  0.500
Mn  0.000  0.500  0.000
Mn  0.000  0.500  0.500
Mn  0.500  0.000  0.000
Mn  0.500  0.000  0.500
Mn  0.500  0.500  0.000
Mn  0.500  0.500  0.500
Co  0.121  0.121  0.121
Co  0.121  0.121  0.638
Co  0.121  0.638  0.121
Co  0.362  0.879  0.879
Co  0.638  0.121  0.121
Co  0.879  0.362  0.879
Co  0.879  0.879  0.362
Co  0.879  0.879  0.879
Sb  0.250  0.250  0.250
Sb  0.268  0.268  0.732
Sb  0.268  0.732  0.268
Sb  0.268  0.732  0.732
Sb  0.732  0.268  0.268
Sb  0.732  0.268  0.732
Sb  0.732  0.732  0.268
Sb  0.750  0.750  0.750